Structure and theoretical powder XRD pattern of RbNpSO2 (a crystal structure in Alexandria, relaxed with PBE; Cu Kα (weighted mean of Kα1 and Kα2)).
Lines closer than 0.1° are merged.

Structure:
Cell: 4.3226 4.3226 5.3430 Å, 90.00 90.00 90.00°
Space group P4mm (No. 99)
Unique sites:
1 Rb 0.0000 0.0000 0.0000 [1 per cell]
2 Np 0.5000 0.5000 0.4879 [1 per cell]
3 S 0.5000 0.5000 0.9863 [1 per cell]
4 O 0.0000 0.5000 0.4851 [2 per cell]

Main lines, in order of rising 2θ (10 to 80 degrees two-theta):
- 16.59°, d = 5.343 Å, I = 18.9
- 20.55°, d = 4.323 Å, I = 36.4
- 26.52°, d = 3.361 Å, I = 100.0
- 29.22°, d = 3.057 Å, I = 49.2
- 33.54°, d = 2.672 Å, I = 25.3
- 39.66°, d = 2.273 Å, I = 14.0
- 41.79°, d = 2.161 Å, I = 27.3
- 45.07°, d = 2.011 Å, I = 30.8
- 50.19°, d = 1.818 Å, I = 36.7
- 54.62°, d = 1.680 Å, I = 24.4